Record 1
# PmEr2B6
Computed X-ray diffraction stick pattern, Cu Kα. Input: a PBE-relaxed structure.
Peak positions follow from Bragg's law for the DFT cell and can differ from measured ones.

Peak list (10 most intense, 10 to 80 degrees two-theta, sorted by position)
two_theta  I (rel.)
22.8  47
31.3  74
39.1  100
46.5  11
55.8  19
57.2  28
61.0  21
65.4  9
70.2  18
75.5  16

Structure:
```
data_PmEr2B6
_chemical_formula_sum 'Pm1 Er2 B6'
_cell_length_a 5.710
_cell_length_b 5.710
_cell_length_c 3.904
_cell_angle_alpha 90.00
_cell_angle_beta 90.00
_cell_angle_gamma 120.00
_space_group_name_H-M_alt 'P 1'
_space_group_IT_number 1
_space_group_name_Hall 'P 1'
loop_
_atom_site_label
_atom_site_type_symbol
_atom_site_fract_x
_atom_site_fract_y
_atom_site_fract_z
_atom_site_occupancy
Pm1 Pm 0.000 0.000 0.000 1
Er1 Er 0.333 0.667 0.000 1
Er2 Er 0.667 0.333 0.000 1
B1 B 0.000 0.339 0.500 1
B2 B 0.000 0.661 0.500 1
B3 B 0.339 0.000 0.500 1
B4 B 0.339 0.339 0.500 1
B5 B 0.661 0.000 0.500 1
B6 B 0.661 0.661 0.500 1
```

=====

Record 2
# PmErB12
Computed X-ray diffraction stick pattern, Cu Kα. Input: a PBE-relaxed structure.
Peak positions follow from Bragg's law for the DFT cell and can differ from measured ones.

Peak list (10 most intense, 10 to 80 degrees two-theta, sorted by position)
two_theta  I (rel.)
21.6  69
30.8  100
38.0  42
44.1  21
49.6  50
54.8  28
64.2  10
68.6  28
72.8  20
77.0  13

Structure:
```
data_PmErB12
_chemical_formula_sum 'Pm1 Er1 B12'
_cell_length_a 4.105
_cell_length_b 4.105
_cell_length_c 8.214
_cell_angle_alpha 90.00
_cell_angle_beta 90.00
_cell_angle_gamma 90.00
_space_group_name_H-M_alt 'P 1'
_space_group_IT_number 1
_space_group_name_Hall 'P 1'
loop_
_atom_site_label
_atom_site_type_symbol
_atom_site_fract_x
_atom_site_fract_y
_atom_site_fract_z
_atom_site_occupancy
Pm1 Pm 0.000 0.000 0.000 1
Er1 Er 0.000 0.000 0.500 1
B1 B 0.199 0.500 0.252 1
B2 B 0.199 0.500 0.748 1
B3 B 0.500 0.199 0.252 1
B4 B 0.500 0.199 0.748 1
B5 B 0.500 0.500 0.100 1
B6 B 0.500 0.500 0.401 1
B7 B 0.500 0.500 0.599 1
B8 B 0.500 0.500 0.900 1
B9 B 0.500 0.801 0.252 1
B10 B 0.500 0.801 0.748 1
B11 B 0.801 0.500 0.252 1
B12 B 0.801 0.500 0.748 1
```

=====

Record 3
# PrErB12
Computed X-ray diffraction stick pattern, Cu Kα. Input: a PBE-relaxed structure.
Peak positions follow from Bragg's law for the DFT cell and can differ from measured ones.

Peak list (10 most intense, 10 to 80 degrees two-theta, sorted by position)
two_theta  I (rel.)
21.6  68
30.7  100
37.9  42
44.0  21
49.5  50
54.6  28
64.0  10
68.4  28
72.6  20
76.8  13

Structure:
```
data_PrErB12
_chemical_formula_sum 'Pr1 Er1 B12'
_cell_length_a 4.116
_cell_length_b 4.116
_cell_length_c 8.234
_cell_angle_alpha 90.00
_cell_angle_beta 90.00
_cell_angle_gamma 90.00
_space_group_name_H-M_alt 'P 1'
_space_group_IT_number 1
_space_group_name_Hall 'P 1'
loop_
_atom_site_label
_atom_site_type_symbol
_atom_site_fract_x
_atom_site_fract_y
_atom_site_fract_z
_atom_site_occupancy
Pr1 Pr 0.000 0.000 0.000 1
Er1 Er 0.000 0.000 0.500 1
B1 B 0.199 0.500 0.253 1
B2 B 0.199 0.500 0.747 1
B3 B 0.500 0.199 0.253 1
B4 B 0.500 0.199 0.747 1
B5 B 0.500 0.500 0.101 1
B6 B 0.500 0.500 0.402 1
B7 B 0.500 0.500 0.598 1
B8 B 0.500 0.500 0.899 1
B9 B 0.500 0.801 0.253 1
B10 B 0.500 0.801 0.747 1
B11 B 0.801 0.500 0.253 1
B12 B 0.801 0.500 0.747 1
```

=====

Record 4
# ErB3Pt6
Computed X-ray diffraction stick pattern, Cu Kα. Input: a PBE-relaxed structure.
Peak positions follow from Bragg's law for the DFT cell and can differ from measured ones.

Peak list (10 most intense, 10 to 80 degrees two-theta, sorted by position)
two_theta  I (rel.)
32.1  34
32.5  22
33.9  100
36.7  23
36.9  47
38.0  84
38.6  23
38.9  26
43.3  25
46.9  19

Structure:
```
data_ErB3Pt6
_chemical_formula_sum 'Er1 B3 Pt6'
_cell_length_a 5.581
_cell_length_b 5.598
_cell_length_c 5.728
_cell_angle_alpha 108.96
_cell_angle_beta 91.18
_cell_angle_gamma 119.44
_space_group_name_H-M_alt 'P 1'
_space_group_IT_number 1
_space_group_name_Hall 'P 1'
loop_
_atom_site_label
_atom_site_type_symbol
_atom_site_fract_x
_atom_site_fract_y
_atom_site_fract_z
_atom_site_occupancy
Er1 Er 0.000 0.000 0.000 1
B1 B 0.122 0.231 0.505 1
B2 B 0.350 0.731 0.137 1
B3 B 0.699 0.409 0.151 1
Pt1 Pt 0.091 0.562 0.381 1
Pt2 Pt 0.461 0.946 0.859 1
Pt3 Pt 0.470 0.176 0.383 1
Pt4 Pt 0.477 0.457 0.867 1
Pt5 Pt 0.715 0.811 0.402 1
Pt6 Pt 0.958 0.408 0.816 1
```

=====

Record 5
# ErB4Rh4
Computed X-ray diffraction stick pattern, Cu Kα. Input: a PBE-relaxed structure.
Peak positions follow from Bragg's law for the DFT cell and can differ from measured ones.

Peak list (10 most intense, 10 to 80 degrees two-theta, sorted by position)
two_theta  I (rel.)
23.6  24
29.3  40
33.8  24
35.8  73
39.7  100
40.1  73
45.2  32
64.3  23
64.5  19
71.2  28

Structure:
```
data_ErB4Rh4
_chemical_formula_sum 'Er2 B8 Rh8'
_cell_length_a 5.328
_cell_length_b 5.328
_cell_length_c 7.448
_cell_angle_alpha 90.00
_cell_angle_beta 90.00
_cell_angle_gamma 90.00
_space_group_name_H-M_alt 'P 1'
_space_group_IT_number 1
_space_group_name_Hall 'P 1'
loop_
_atom_site_label
_atom_site_type_symbol
_atom_site_fract_x
_atom_site_fract_y
_atom_site_fract_z
_atom_site_occupancy
Er1 Er 0.250 0.750 0.250 1
Er2 Er 0.750 0.250 0.750 1
B1 B 0.081 0.250 0.102 1
B2 B 0.250 0.081 0.602 1
B3 B 0.250 0.419 0.602 1
B4 B 0.419 0.250 0.102 1
B5 B 0.581 0.750 0.898 1
B6 B 0.750 0.581 0.398 1
B7 B 0.750 0.919 0.398 1
B8 B 0.919 0.750 0.898 1
Rh1 Rh 0.001 0.750 0.604 1
Rh2 Rh 0.250 0.501 0.896 1
Rh3 Rh 0.250 0.999 0.896 1
Rh4 Rh 0.499 0.750 0.604 1
Rh5 Rh 0.501 0.250 0.396 1
Rh6 Rh 0.750 0.001 0.104 1
Rh7 Rh 0.750 0.499 0.104 1
Rh8 Rh 0.999 0.250 0.396 1
```

=====

Record 6
# ErB4Rh4
Computed X-ray diffraction stick pattern, Cu Kα. Input: a PBE-relaxed structure.
Peak positions follow from Bragg's law for the DFT cell and can differ from measured ones.

Peak list (10 most intense, 10 to 80 degrees two-theta, sorted by position)
two_theta  I (rel.)
32.1  62
33.9  21
39.7  100
40.1  43
40.4  35
41.7  11
43.7  14
64.3  12
64.5  14
71.2  24

Structure:
```
data_ErB4Rh4
_chemical_formula_sum 'Er4 B16 Rh16'
_cell_length_a 9.154
_cell_length_b 9.154
_cell_length_c 9.154
_cell_angle_alpha 131.39
_cell_angle_beta 131.39
_cell_angle_gamma 71.19
_space_group_name_H-M_alt 'P 1'
_space_group_IT_number 1
_space_group_name_Hall 'P 1'
loop_
_atom_site_label
_atom_site_type_symbol
_atom_site_fract_x
_atom_site_fract_y
_atom_site_fract_z
_atom_site_occupancy
Er1 Er 0.125 0.375 0.750 1
Er2 Er 0.375 0.125 0.250 1
Er3 Er 0.625 0.875 0.750 1
Er4 Er 0.875 0.625 0.250 1
B1 B 0.069 0.128 0.282 1
B2 B 0.128 0.346 0.059 1
B3 B 0.154 0.372 0.441 1
B4 B 0.214 0.931 0.559 1
B5 B 0.286 0.846 0.718 1
B6 B 0.346 0.786 0.218 1
B7 B 0.372 0.431 0.218 1
B8 B 0.431 0.714 0.059 1
B9 B 0.569 0.286 0.941 1
B10 B 0.628 0.569 0.782 1
B11 B 0.654 0.214 0.782 1
B12 B 0.714 0.154 0.282 1
B13 B 0.786 0.069 0.441 1
B14 B 0.846 0.628 0.559 1
B15 B 0.872 0.654 0.941 1
B16 B 0.931 0.872 0.718 1
Rh1 Rh 0.036 0.823 0.981 1
Rh2 Rh 0.054 0.036 0.712 1
Rh3 Rh 0.158 0.677 0.712 1
Rh4 Rh 0.177 0.658 0.212 1
Rh5 Rh 0.323 0.536 0.481 1
Rh6 Rh 0.342 0.054 0.519 1
Rh7 Rh 0.446 0.158 0.981 1
Rh8 Rh 0.464 0.446 0.788 1
Rh9 Rh 0.536 0.554 0.212 1
Rh10 Rh 0.554 0.842 0.019 1
Rh11 Rh 0.658 0.946 0.481 1
Rh12 Rh 0.677 0.464 0.519 1
Rh13 Rh 0.823 0.342 0.788 1
Rh14 Rh 0.842 0.323 0.288 1
Rh15 Rh 0.946 0.964 0.288 1
Rh16 Rh 0.964 0.177 0.019 1
```